Record 1
Starting from the GGA-PBE geometry in Alexandria, the powder X-ray diffraction pattern of TlGeN was calculated for Cu Kα X-rays.
Intensities are scaled so that the largest is 100.

Structural model:
```
TlGeN
1.0
3.173 0.000 0.000
0.000 5.474 0.000
0.000 0.000 12.988
Tl Ge N
4 4 4
direct
0.000 0.248 0.000
0.000 0.752 0.500
0.500 0.252 0.500
0.500 0.748 0.000
0.000 0.131 0.761
0.000 0.869 0.261
0.500 0.369 0.261
0.500 0.631 0.761
0.000 0.204 0.198
0.000 0.796 0.698
0.500 0.296 0.698
0.500 0.704 0.198
```

Main lines, low angle first (10° ≤ 2θ ≤ 80°):
d (Å)  2theta  I (rel.)
6.494  13.64  55
3.247  27.47  70
2.737  32.72  27
2.686  33.36  100
2.523  35.59  37
2.318  38.85  54
2.093  43.22  27
1.887  48.23  47
1.570  58.81  19
1.486  62.52  16

Record 2
Starting from the GGA-PBE geometry in Alexandria, the powder X-ray diffraction pattern of TlGeN3 was calculated for Cu Kα X-rays.
Intensities are scaled so that the largest is 100.

Structural model:
```
TlGeN3
1.0
3.928 0.000 0.000
0.000 3.928 0.000
0.000 0.000 3.928
Tl Ge N
1 1 3
direct
0.000 0.000 0.000
0.500 0.500 0.500
0.000 0.500 0.500
0.500 0.000 0.500
0.500 0.500 0.000
```

Main lines, low angle first (10° ≤ 2θ ≤ 80°):
d (Å)  2theta  I (rel.)
3.928  22.64  20
2.777  32.23  100
2.268  39.75  15
1.964  46.23  26
1.756  52.07  10
1.603  57.48  40
1.389  67.45  16
1.309  72.15  5
1.242  76.74  17

Record 3
Starting from the GGA-PBE geometry in Alexandria, the powder X-ray diffraction pattern of V4GeN2 was calculated for Cu Kα X-rays.
Intensities are scaled so that the largest is 100.

Structural model:
```
V4GeN2
1.0
4.394 0.000 0.000
0.000 4.394 0.000
0.000 0.000 10.644
V Ge N
8 2 4
direct
0.000 0.000 0.241
0.000 0.000 0.759
0.000 0.500 0.000
0.000 0.500 0.500
0.500 0.000 0.000
0.500 0.000 0.500
0.500 0.500 0.259
0.500 0.500 0.741
0.000 0.000 0.000
0.500 0.500 0.500
0.000 0.000 0.402
0.000 0.000 0.598
0.500 0.500 0.098
0.500 0.500 0.902
```

Main lines, low angle first (10° ≤ 2θ ≤ 80°):
d (Å)  2theta  I (rel.)
5.322  16.66  42
4.062  21.88  37
3.107  28.73  32
2.683  33.39  54
2.661  33.68  63
2.197  41.08  100
1.916  47.46  23
1.694  54.13  60
1.554  59.50  30
1.342  70.15  26

Record 4
Starting from the GGA-PBE geometry in Alexandria, the powder X-ray diffraction pattern of Y3Ge6N11 was calculated for Cu Kα X-rays.
Intensities are scaled so that the largest is 100.

Structural model:
```
Y3Ge6N11
1.0
10.367 0.000 0.000
0.000 10.367 0.000
0.000 0.000 5.163
Y Ge N
6 12 22
direct
0.000 0.000 0.000
0.183 0.317 0.002
0.317 0.817 0.002
0.500 0.500 0.000
0.683 0.183 0.002
0.817 0.683 0.002
0.081 0.794 0.562
0.121 0.621 0.080
0.206 0.081 0.562
0.294 0.581 0.562
0.379 0.121 0.080
0.419 0.294 0.562
0.581 0.706 0.562
0.621 0.879 0.080
0.706 0.419 0.562
0.794 0.919 0.562
0.879 0.379 0.080
0.919 0.206 0.562
0.000 0.500 0.127
0.078 0.184 0.708
0.087 0.788 0.202
0.153 0.653 0.729
0.184 0.922 0.708
0.212 0.087 0.202
0.288 0.587 0.202
0.316 0.422 0.708
0.347 0.153 0.729
0.413 0.288 0.202
0.422 0.684 0.708
0.500 0.000 0.127
0.578 0.316 0.708
0.587 0.712 0.202
0.653 0.847 0.729
0.684 0.578 0.708
0.712 0.413 0.202
0.788 0.913 0.202
0.816 0.078 0.708
0.847 0.347 0.729
0.913 0.212 0.202
0.922 0.816 0.708
```

Main lines, low angle first (10° ≤ 2θ ≤ 80°):
d (Å)  2theta  I (rel.)
5.171  17.15  20
4.221  21.05  18
3.449  25.83  19
2.989  29.90  54
2.767  32.35  85
2.581  34.75  36
2.513  35.73  100
2.318  38.85  16
1.801  50.68  32
1.465  63.49  16

Record 5
Starting from the GGA-PBE geometry in Alexandria, the powder X-ray diffraction pattern of Y4Ge2N was calculated for Cu Kα X-rays.
Intensities are scaled so that the largest is 100.

Structural model:
```
Y4Ge2N
1.0
11.909 0.000 0.000
0.000 3.893 0.000
-4.801 0.000 6.628
Y Ge N
8 4 2
direct
0.081 0.000 0.348
0.156 0.500 0.076
0.344 0.000 0.924
0.419 0.500 0.652
0.581 0.500 0.348
0.656 0.000 0.076
0.844 0.500 0.924
0.919 0.000 0.652
0.119 0.500 0.672
0.381 0.000 0.328
0.619 0.000 0.672
0.881 0.500 0.328
0.000 0.000 0.000
0.500 0.500 0.000
```

Main lines, low angle first (10° ≤ 2θ ≤ 80°):
d (Å)  2theta  I (rel.)
2.913  30.69  21
2.766  32.37  100
2.694  33.25  21
2.638  33.98  21
2.527  35.53  16
2.479  36.24  26
2.411  37.29  17
2.210  40.82  29
1.946  46.67  26
1.658  55.43  14

Record 6
Starting from the GGA-PBE geometry in Alexandria, the powder X-ray diffraction pattern of Zn4GeN4 was calculated for Cu Kα X-rays.
Intensities are scaled so that the largest is 100.

Structural model:
```
Zn4GeN4
1.0
4.217 -3.821 0.000
4.217 3.821 0.000
0.000 0.000 6.569
Zn Ge N
8 2 8
direct
0.072 0.631 0.750
0.335 0.335 0.000
0.335 0.335 0.500
0.369 0.928 0.750
0.631 0.072 0.250
0.665 0.665 0.000
0.665 0.665 0.500
0.928 0.369 0.250
0.162 0.838 0.250
0.838 0.162 0.750
0.156 0.239 0.750
0.239 0.156 0.250
0.294 0.706 0.005
0.294 0.706 0.495
0.706 0.294 0.505
0.706 0.294 0.995
0.761 0.844 0.750
0.844 0.761 0.250
```

Main lines, low angle first (10° ≤ 2θ ≤ 80°):
d (Å)  2theta  I (rel.)
2.841  31.49  86
2.831  31.60  24
2.638  33.98  28
2.491  36.06  100
2.448  36.71  100
2.438  36.86  38
2.057  44.02  32
1.684  54.48  39
1.642  55.99  31
1.637  56.20  24

Record 7
Starting from the GGA-PBE geometry in Alexandria, the powder X-ray diffraction pattern of NaGe was calculated for Cu Kα X-rays.
Intensities are scaled so that the largest is 100.

Structural model:
```
NaGe
1.0
-4.902 4.902 8.084
4.902 -4.902 8.084
4.902 4.902 -8.084
Na Ge
16 16
direct
0.000 0.250 0.500
0.000 0.750 0.500
0.120 0.750 0.870
0.250 0.120 0.870
0.250 0.250 0.250
0.250 0.500 0.000
0.250 0.620 0.370
0.380 0.250 0.630
0.500 0.000 0.250
0.500 0.000 0.750
0.620 0.750 0.370
0.750 0.380 0.630
0.750 0.500 0.000
0.750 0.750 0.750
0.750 0.880 0.130
0.880 0.250 0.130
0.001 0.701 0.067
0.066 0.999 0.199
0.134 0.934 0.433
0.201 0.501 0.567
0.299 0.866 0.301
0.366 0.799 0.801
0.434 0.634 0.933
0.499 0.566 0.699
0.501 0.434 0.301
0.566 0.366 0.067
0.634 0.201 0.199
0.701 0.134 0.699
0.799 0.499 0.433
0.866 0.066 0.567
0.934 0.001 0.801
0.999 0.299 0.933
```

Main lines, low angle first (10° ≤ 2θ ≤ 80°):
d (Å)  2theta  I (rel.)
5.262  16.85  100
4.902  18.10  21
2.681  33.42  44
2.602  34.46  42
2.512  35.75  18
2.460  36.53  23
2.451  36.67  19
2.428  37.03  27
2.081  43.49  24
1.869  48.71  16

Record 8
Starting from the GGA-PBE geometry in Alexandria, the powder X-ray diffraction pattern of NaGe2 was calculated for Cu Kα X-rays.
Intensities are scaled so that the largest is 100.

Structural model:
```
NaGe2
1.0
4.554 0.000 0.000
0.000 4.554 0.000
0.000 0.000 6.866
Na Ge
2 4
direct
0.250 0.250 0.155
0.750 0.750 0.845
0.250 0.250 0.708
0.250 0.750 0.500
0.750 0.250 0.500
0.750 0.750 0.292
```

Main lines, low angle first (10° ≤ 2θ ≤ 80°):
d (Å)  2theta  I (rel.)
6.866  12.89  100
3.795  23.44  42
2.915  30.67  37
2.741  32.67  24
2.349  38.32  94
2.277  39.58  59
2.161  41.79  22
1.865  48.82  23
1.610  57.21  19
1.328  70.97  29

Which formula does entry 5 have? Y4Ge2N